For UCO5F, the GGA-PBE geometry in Alexandria gives the theoretical X-ray powder pattern in this record (Cu Kα (λ = 1.5418 Å)).

Cell and atoms:
a = 5.9860 Å, b = 5.9860 Å, c = 6.6425 Å
α = 94.99°, β = 94.99°, γ = 121.83°
Sites, in units of the cell vectors:
U 0.0000 0.5000 0.0000
U 0.5000 0.0000 0.5000
C 0.0092 0.9908 0.7500
C 0.9908 0.0092 0.2500
O 0.0468 0.8526 0.8954
O 0.1324 0.2565 0.8195
O 0.1474 0.9532 0.6046
O 0.2565 0.1324 0.3195
O 0.3017 0.6983 0.2500
O 0.6983 0.3017 0.7500
O 0.7435 0.8676 0.6805
O 0.8526 0.0468 0.3954
O 0.8676 0.7435 0.1805
O 0.9532 0.1474 0.1046
F 0.3033 0.6967 0.7500
F 0.6967 0.3033 0.2500

Principal peaks in the range 2θ = 10–90°, in order of rising 2θ:
two_theta, d_spacing, I/Imax
16.9, 5.231, 64
20.5, 4.324, 100
24.0, 3.711, 84
31.8, 2.811, 32
32.3, 2.771, 32
34.2, 2.618, 35